Diffraction record for GaCoAu2O4. The powder diffraction line list is theoretical, not measured: it uses a PBE+U-relaxed structure and Cu Kα, 1.54184 Å.
No peak broadening, texture or thermal motion is included.

```
GaCoAu2O4
1.0
2.964 0.000 0.000
-1.482 2.567 0.000
0.000 0.000 12.330
Ga Co Au O
1 1 2 4
Direct
0.000 0.000 0.000
0.000 0.000 0.500
0.333 0.667 0.255
0.667 0.333 0.745
0.333 0.667 0.083
0.333 0.667 0.424
0.667 0.333 0.576
0.667 0.333 0.917
```

Top 8 peaks for 2θ from 15° to 90°, by angle:
- 28.97°, I = 52, (0 0 4)
- 35.72°, I = 100, (0 1 1)
- 37.97°, I = 62, (1 0 2)
- 41.47°, I = 40, (0 1 3)
- 51.38°, I = 36, (0 1 5)
- 57.44°, I = 24, (1 0 6)
- 62.68°, I = 24, (1 1 0)
- 70.50°, I = 26, (1 1 4)